Starting from DFT lattice parameters and positions (GGA-PBE), the powder diffractogram of Zn7O6 was calculated for copper Kα.
No peak broadening, texture or thermal motion is included.

Unit cell a=5.7121 b=5.7121 c=5.7121 alpha=90.00 beta=90.00 gamma=90.00
Atoms (fractional coordinates):
Zn (0.0000, 0.0000, 0.0000)
Zn (0.0000, 0.2488, 0.5000)
Zn (0.0000, 0.7512, 0.5000)
Zn (0.2488, 0.5000, 0.0000)
Zn (0.5000, 0.0000, 0.2488)
Zn (0.5000, 0.0000, 0.7512)
Zn (0.7512, 0.5000, 0.0000)
O (0.0000, 0.5000, 0.2525)
O (0.0000, 0.5000, 0.7475)
O (0.2525, 0.0000, 0.5000)
O (0.5000, 0.2525, 0.0000)
O (0.5000, 0.7475, 0.0000)
O (0.7475, 0.0000, 0.5000)

Largest 8 diffraction maxima, in order of falling intensity, 5 to 70 degrees two-theta:
two_theta	I (rel.)
35.13	100
38.61	88
60.66	42
31.32	40
22.01	36
55.75	31
58.24	24
65.35	24

---

Starting from DFT lattice parameters and positions (GGA-PBE), the powder diffractogram of Zr2ZnO5 was calculated for copper Kα.
No peak broadening, texture or thermal motion is included.

Unit cell a=8.0088 b=8.0088 c=8.0088 alpha=136.23 beta=136.23 gamma=63.62
Atoms (fractional coordinates):
Zr (0.0000, 0.0000, 0.0000)
Zr (0.0000, 0.0000, 0.5000)
Zr (0.0000, 0.5000, 0.0000)
Zr (0.5000, 0.0000, 0.5000)
Zn (0.3750, 0.6250, 0.7500)
Zn (0.6250, 0.3750, 0.2500)
O (0.1250, 0.8750, 0.2500)
O (0.1755, 0.7025, 0.4730)
O (0.2705, 0.2975, 0.9730)
O (0.2975, 0.2705, 0.4730)
O (0.2975, 0.8245, 0.0270)
O (0.7025, 0.1755, 0.9730)
O (0.7025, 0.7295, 0.5270)
O (0.7295, 0.7025, 0.0270)
O (0.8245, 0.2975, 0.5270)
O (0.8750, 0.1250, 0.7500)

Largest 8 diffraction maxima, in order of falling intensity, 5 to 70 degrees two-theta:
two_theta	I (rel.)
24.64	100
34.22	44
50.91	43
32.76	31
16.21	28
24.82	25
50.53	20
50.09	20

---

Starting from DFT lattice parameters and positions (GGA-PBE), the powder diffractogram of Zr3Zn2O was calculated for copper Kα.
No peak broadening, texture or thermal motion is included.

Unit cell a=7.3476 b=7.3476 c=7.3476 alpha=90.00 beta=90.00 gamma=90.00
Atoms (fractional coordinates):
Zr (0.0420, 0.1250, 0.7920)
Zr (0.1250, 0.7920, 0.0420)
Zr (0.2080, 0.5420, 0.3750)
Zr (0.2920, 0.4580, 0.8750)
Zr (0.3750, 0.2080, 0.5420)
Zr (0.4580, 0.8750, 0.2920)
Zr (0.5420, 0.3750, 0.2080)
Zr (0.6250, 0.7080, 0.9580)
Zr (0.7080, 0.9580, 0.6250)
Zr (0.7920, 0.0420, 0.1250)
Zr (0.8750, 0.2920, 0.4580)
Zr (0.9580, 0.6250, 0.7080)
Zn (0.0710, 0.9290, 0.4290)
Zn (0.1790, 0.1790, 0.1790)
Zn (0.3210, 0.8210, 0.6790)
Zn (0.4290, 0.0710, 0.9290)
Zn (0.5710, 0.5710, 0.5710)
Zn (0.6790, 0.3210, 0.8210)
Zn (0.8210, 0.6790, 0.3210)
Zn (0.9290, 0.4290, 0.0710)
O (0.1250, 0.3750, 0.6250)
O (0.3750, 0.6250, 0.1250)
O (0.6250, 0.1250, 0.3750)
O (0.8750, 0.8750, 0.8750)

Largest 8 diffraction maxima, in order of falling intensity, 5 to 70 degrees two-theta:
two_theta	I (rel.)
36.69	100
38.76	56
64.69	23
68.81	23
40.73	21
55.97	9
46.23	8
52.87	7

---

Starting from DFT lattice parameters and positions (GGA-PBE), the powder diffractogram of ZrO2 was calculated for copper Kα.
No peak broadening, texture or thermal motion is included.

Unit cell a=5.1603 b=10.2137 c=5.3290 alpha=90.00 beta=90.00 gamma=90.00
Atoms (fractional coordinates):
Zr (0.2481, 0.1155, 0.0347)
Zr (0.2481, 0.3845, 0.5347)
Zr (0.2519, 0.6155, 0.0347)
Zr (0.2519, 0.8845, 0.5347)
Zr (0.7481, 0.1155, 0.4653)
Zr (0.7481, 0.3845, 0.9653)
Zr (0.7519, 0.6155, 0.4653)
Zr (0.7519, 0.8845, 0.9653)
O (0.0028, 0.0221, 0.7387)
O (0.0028, 0.4779, 0.2387)
O (0.1250, 0.7108, 0.3736)
O (0.1250, 0.7892, 0.8736)
O (0.3750, 0.2108, 0.3736)
O (0.3750, 0.2892, 0.8736)
O (0.4972, 0.5221, 0.7387)
O (0.4972, 0.9779, 0.2387)
O (0.5028, 0.0221, 0.7613)
O (0.5028, 0.4779, 0.2613)
O (0.6250, 0.7108, 0.1264)
O (0.6250, 0.7892, 0.6264)
O (0.8750, 0.2108, 0.1264)
O (0.8750, 0.2892, 0.6264)
O (0.9972, 0.5221, 0.7613)
O (0.9972, 0.9779, 0.2613)

Largest 8 diffraction maxima, in order of falling intensity, 5 to 70 degrees two-theta:
two_theta	I (rel.)
29.78	100
50.27	16
49.15	16
59.28	16
59.78	15
49.44	14
34.77	13
57.79	12

---

Starting from DFT lattice parameters and positions (GGA-PBE), the powder diffractogram of Zr6O11 was calculated for copper Kα.
No peak broadening, texture or thermal motion is included.

Unit cell a=3.6312 b=3.6446 c=15.8269 alpha=90.00 beta=90.00 gamma=90.00
Atoms (fractional coordinates):
Zr (0.0000, 0.0000, 0.0000)
Zr (0.0000, 0.0000, 0.3297)
Zr (0.0000, 0.0000, 0.6647)
Zr (0.5000, 0.5000, 0.1655)
Zr (0.5000, 0.5000, 0.4965)
Zr (0.5000, 0.5000, 0.8323)
O (0.0000, 0.5000, 0.0656)
O (0.0000, 0.5000, 0.3911)
O (0.0000, 0.5000, 0.5609)
O (0.0000, 0.5000, 0.7293)
O (0.0000, 0.5000, 0.8976)
O (0.5000, 0.0000, 0.1002)
O (0.5000, 0.0000, 0.2632)
O (0.5000, 0.0000, 0.4315)
O (0.5000, 0.0000, 0.5988)
O (0.5000, 0.0000, 0.7663)
O (0.5000, 0.0000, 0.9333)

Largest 8 diffraction maxima, in order of falling intensity, 5 to 70 degrees two-theta:
two_theta	I (rel.)
29.83	100
49.49	35
34.88	15
58.28	14
59.39	14
59.52	13
33.99	10
50.05	9

---

Starting from DFT lattice parameters and positions (GGA-PBE), the powder diffractogram of Zr5O2 was calculated for copper Kα.
No peak broadening, texture or thermal motion is included.

Unit cell a=7.7179 b=7.7179 c=6.1659 alpha=103.90 beta=103.90 gamma=43.26
Atoms (fractional coordinates):
Zr (0.0919, 0.9081, 0.7500)
Zr (0.1173, 0.2823, 0.6507)
Zr (0.2823, 0.1173, 0.1507)
Zr (0.3164, 0.4786, 0.0474)
Zr (0.4786, 0.3164, 0.5474)
Zr (0.5214, 0.6836, 0.4526)
Zr (0.6836, 0.5214, 0.9526)
Zr (0.7177, 0.8827, 0.8493)
Zr (0.8827, 0.7177, 0.3493)
Zr (0.9081, 0.0919, 0.2500)
O (0.0956, 0.6029, 0.7011)
O (0.3971, 0.9044, 0.7989)
O (0.6029, 0.0956, 0.2011)
O (0.9044, 0.3971, 0.2989)

Largest 8 diffraction maxima, in order of falling intensity, 5 to 70 degrees two-theta:
two_theta	I (rel.)
36.06	100
35.93	51
34.26	33
56.08	20
47.22	19
62.52	19
67.39	18
31.59	18

---

Starting from DFT lattice parameters and positions (GGA-PBE), the powder diffractogram of ZrO2 was calculated for copper Kα.
No peak broadening, texture or thermal motion is included.

Unit cell a=8.1748 b=8.1748 c=5.0933 alpha=90.00 beta=90.00 gamma=90.00
Atoms (fractional coordinates):
Zr (0.0746, 0.6180, 0.2452)
Zr (0.1180, 0.9254, 0.7548)
Zr (0.2500, 0.2500, 0.1839)
Zr (0.3820, 0.5746, 0.7548)
Zr (0.4254, 0.8820, 0.2452)
Zr (0.5746, 0.1180, 0.7548)
Zr (0.6180, 0.4254, 0.2452)
Zr (0.7500, 0.7500, 0.8161)
Zr (0.8820, 0.0746, 0.2452)
Zr (0.9254, 0.3820, 0.7548)
O (0.0434, 0.1610, 0.9261)
O (0.0473, 0.3613, 0.3898)
O (0.1387, 0.0473, 0.3898)
O (0.1610, 0.4566, 0.9261)
O (0.2500, 0.7500, 0.0000)
O (0.2500, 0.7500, 0.5000)
O (0.3390, 0.0434, 0.9261)
O (0.3613, 0.4527, 0.3898)
O (0.4527, 0.1387, 0.3898)
O (0.4566, 0.3390, 0.9261)
O (0.5434, 0.6610, 0.0739)
O (0.5473, 0.8613, 0.6102)
O (0.6387, 0.5473, 0.6102)
O (0.6610, 0.9566, 0.0739)
O (0.7500, 0.2500, 0.0000)
O (0.7500, 0.2500, 0.5000)
O (0.8390, 0.5434, 0.0739)
O (0.8613, 0.9527, 0.6102)
O (0.9527, 0.6387, 0.6102)
O (0.9566, 0.8390, 0.0739)

Largest 8 diffraction maxima, in order of falling intensity, 5 to 70 degrees two-theta:
two_theta	I (rel.)
30.09	100
50.29	29
34.70	22
59.37	18
60.09	15
49.89	14
35.24	11
49.32	11

---

Starting from DFT lattice parameters and positions (GGA-PBE), the powder diffractogram of ZrO2 was calculated for copper Kα.
No peak broadening, texture or thermal motion is included.

Unit cell a=5.2643 b=5.3914 c=10.3418 alpha=90.00 beta=90.00 gamma=90.00
Atoms (fractional coordinates):
Zr (0.0422, 0.1572, 0.1382)
Zr (0.0422, 0.3428, 0.6382)
Zr (0.4578, 0.6572, 0.1382)
Zr (0.4578, 0.8428, 0.6382)
Zr (0.5422, 0.1572, 0.3618)
Zr (0.5422, 0.3428, 0.8618)
Zr (0.9578, 0.6572, 0.3618)
Zr (0.9578, 0.8428, 0.8618)
O (0.1725, 0.6636, 0.5320)
O (0.1725, 0.8364, 0.0320)
O (0.2482, 0.5897, 0.7750)
O (0.2482, 0.9103, 0.2750)
O (0.2518, 0.0897, 0.7750)
O (0.2518, 0.4103, 0.2750)
O (0.3275, 0.1636, 0.5320)
O (0.3275, 0.3364, 0.0320)
O (0.6725, 0.6636, 0.9680)
O (0.6725, 0.8364, 0.4680)
O (0.7482, 0.5897, 0.7250)
O (0.7482, 0.9103, 0.2250)
O (0.7518, 0.0897, 0.7250)
O (0.7518, 0.4103, 0.2250)
O (0.8275, 0.1636, 0.9680)
O (0.8275, 0.3364, 0.4680)

Largest 8 diffraction maxima, in order of falling intensity, 5 to 70 degrees two-theta:
two_theta	I (rel.)
29.34	100
25.16	38
49.18	23
49.41	20
35.29	18
56.04	15
34.38	14
54.69	13

---

Starting from DFT lattice parameters and positions (GGA-PBE), the powder diffractogram of Os was calculated for copper Kα.
No peak broadening, texture or thermal motion is included.

Unit cell a=2.7627 b=2.7627 c=4.3246 alpha=90.00 beta=90.00 gamma=120.00
Atoms (fractional coordinates):
Os (0.3333, 0.6667, 0.2500)
Os (0.6667, 0.3333, 0.7500)

Largest 5 diffraction maxima, in order of falling intensity, 5 to 70 degrees two-theta:
two_theta	I (rel.)
43.21	100
37.59	24
41.77	24
67.85	18
57.44	15

---

Starting from DFT lattice parameters and positions (GGA-PBE), the powder diffractogram of POs was calculated for copper Kα.
No peak broadening, texture or thermal motion is included.

Unit cell a=4.1446 b=4.1446 c=4.1446 alpha=138.49 beta=138.49 gamma=60.16
Atoms (fractional coordinates):
P (0.0000, 0.0000, 0.0000)
Os (0.2500, 0.7500, 0.5000)

Largest 8 diffraction maxima, in order of falling intensity, 5 to 70 degrees two-theta:
two_theta	I (rel.)
32.95	100
50.79	39
24.83	34
49.13	33
43.57	16
63.32	10
50.92	10
69.10	8

---

Starting from DFT lattice parameters and positions (GGA-PBE), the powder diffractogram of PaP2OsRu2 was calculated for copper Kα.
No peak broadening, texture or thermal motion is included.

Unit cell a=8.6725 b=8.6725 c=8.6725 alpha=154.12 beta=154.12 gamma=36.92
Atoms (fractional coordinates):
Pa (0.0000, 0.0000, 0.0000)
P (0.1741, 0.1741, 0.0000)
P (0.8259, 0.8259, 0.0000)
Os (0.5000, 0.5000, 0.0000)
Ru (0.2500, 0.7500, 0.5000)
Ru (0.7500, 0.2500, 0.5000)

Largest 8 diffraction maxima, in order of falling intensity, 5 to 70 degrees two-theta:
two_theta	I (rel.)
34.43	100
46.81	86
21.61	85
52.09	33
66.21	32
10.75	26
32.62	18
44.03	12

---

Starting from DFT lattice parameters and positions (GGA-PBE), the powder diffractogram of P2OsPb2 was calculated for copper Kα.
No peak broadening, texture or thermal motion is included.

Unit cell a=6.1151 b=6.1151 c=5.5049 alpha=90.00 beta=90.00 gamma=90.00
Atoms (fractional coordinates):
P (0.1319, 0.3681, 0.0000)
P (0.3681, 0.8681, 0.0000)
P (0.6319, 0.1319, 0.0000)
P (0.8681, 0.6319, 0.0000)
Os (0.0000, 0.0000, 0.0000)
Os (0.5000, 0.5000, 0.0000)
Pb (0.1885, 0.6885, 0.5000)
Pb (0.3115, 0.1885, 0.5000)
Pb (0.6885, 0.8115, 0.5000)
Pb (0.8115, 0.3115, 0.5000)

Largest 8 diffraction maxima, in order of falling intensity, 5 to 70 degrees two-theta:
two_theta	I (rel.)
33.53	100
36.69	67
32.53	52
26.21	38
58.32	24
32.75	23
46.99	23
58.68	21